This entry pairs a crystal structure of MgSi with its computed powder diffractogram. Radiation: Cu Ka. Structure: a crystal structure in the Materials Project, relaxed with PBE.

Cell and atoms:
Unit cell a=4.453 b=7.097 c=14.987 alpha=83.01 beta=83.91 gamma=89.96
Atoms (fractional coordinates):
1 Mg 0.000 0.000 0.000
2 Mg 0.001 0.494 0.000
3 Mg 0.138 0.791 0.817
4 Mg 0.155 0.297 0.814
5 Mg 0.190 0.157 0.359
6 Mg 0.244 0.663 0.338
7 Mg 0.492 0.210 0.151
8 Mg 0.547 0.715 0.131
9 Mg 0.676 0.875 0.487
10 Mg 0.680 0.377 0.487
11 Mg 0.689 0.082 0.672
12 Mg 0.706 0.577 0.674
13 Si 0.027 0.893 0.181
14 Si 0.029 0.510 0.181
15 Si 0.152 0.619 0.524
16 Si 0.155 0.112 0.538
17 Si 0.225 0.829 0.634
18 Si 0.226 0.349 0.631
19 Si 0.508 0.255 0.964
20 Si 0.511 0.761 0.952
21 Si 0.640 0.526 0.857
22 Si 0.641 0.042 0.855
23 Si 0.710 0.360 0.306
24 Si 0.712 0.983 0.305

Most intense lines, 2θ = 10–90°, by angle:
2θ (°), intensity
32.98, 78.2
33.04, 79.1
34.21, 100.0
34.62, 52.9
36.45, 73.5
51.50, 47.3